Structure and computed powder X-ray diffraction pattern of Tb3TeSeS (a GGA-PBE-relaxed structure; Cu Kα, 1.54184 Å).
Lines closer than 0.1° are merged.

Most intense lines, 10 to 90 degrees two-theta, in order of falling intensity:
2θ = 32.39°, intensity 100
2θ = 29.00°, intensity 77
2θ = 30.21°, intensity 77
2θ = 30.38°, intensity 77
2θ = 24.32°, intensity 62
2θ = 36.82°, intensity 58
2θ = 49.84°, intensity 50
2θ = 23.23°, intensity 42
2θ = 45.75°, intensity 38
2θ = 38.19°, intensity 38
2θ = 37.09°, intensity 32
2θ = 37.24°, intensity 31

Structure:
abc: 8.0795 8.0795 6.7818
angles: 97.77 97.77 130.02
Positions (direct):
Tb1 0.1666 0.3074 0.9991
Tb2 0.2445 0.7555 0.7500
Tb3 0.3074 0.1666 0.4991
Tb4 0.6926 0.8334 0.5009
Tb5 0.7555 0.2445 0.2500
Tb6 0.8334 0.6926 0.0009
Te1 0.2510 0.7490 0.2500
Te2 0.7490 0.2510 0.7500
Se1 0.4349 0.5651 0.7500
Se2 0.5651 0.4349 0.2500
S1 0.0616 0.9384 0.7500
S2 0.9384 0.0616 0.2500



Structure and computed powder X-ray diffraction pattern of Tb4Tl2SeS (a GGA-PBE-relaxed structure; Cu Kα, 1.54184 Å).
Lines closer than 0.1° are merged.

Most intense lines, 10 to 90 degrees two-theta, in order of falling intensity:
2θ = 30.33°, intensity 100
2θ = 40.31°, intensity 26
2θ = 46.35°, intensity 22
2θ = 32.44°, intensity 13
2θ = 26.57°, intensity 13
2θ = 40.15°, intensity 13
2θ = 56.55°, intensity 12
2θ = 46.53°, intensity 11
2θ = 33.77°, intensity 11
2θ = 57.01°, intensity 10
2θ = 75.90°, intensity 10
2θ = 58.68°, intensity 9

Structure:
abc: 6.7943 3.9032 8.2720
angles: 90.00 105.72 90.00
Positions (direct):
Tb1 0.2277 0.0000 0.2067
Tb2 0.2544 0.5000 0.7870
Tb3 0.7456 0.5000 0.2130
Tb4 0.7723 0.0000 0.7933
Tl1 0.0000 0.0000 0.5000
Tl2 0.5000 0.5000 0.5000
Se1 0.5000 0.0000 0.0000
S1 0.0000 0.5000 0.0000



Structure and computed powder X-ray diffraction pattern of TbTmSeS (a GGA-PBE-relaxed structure; Cu Kα, 1.54184 Å).
Lines closer than 0.1° are merged.

Most intense lines, 10 to 90 degrees two-theta, in order of falling intensity:
2θ = 34.46°, intensity 100
2θ = 26.96°, intensity 54
2θ = 46.97°, intensity 52
2θ = 31.83°, intensity 47
2θ = 40.73°, intensity 31
2θ = 28.00°, intensity 21
2θ = 59.54°, intensity 20
2θ = 73.64°, intensity 19
2θ = 79.09°, intensity 18
2θ = 25.86°, intensity 16
2θ = 51.98°, intensity 16
2θ = 54.40°, intensity 14

Structure:
abc: 3.8687 3.8687 20.6703
angles: 90.00 90.00 120.00
Positions (direct):
Tb1 0.0000 0.0000 0.0000
Tb2 0.3333 0.6667 0.6667
Tb3 0.6667 0.3333 0.3333
Tm1 0.0000 0.0000 0.1849
Tm2 0.3333 0.6667 0.8515
Tm3 0.6667 0.3333 0.5182
Se1 0.0000 0.0000 0.4266
Se2 0.3333 0.6667 0.0933
Se3 0.6667 0.3333 0.7600
S1 0.0000 0.0000 0.5921
S2 0.3333 0.6667 0.2588
S3 0.6667 0.3333 0.9255



Structure and computed powder X-ray diffraction pattern of Tb4ZnSeS2 (a GGA-PBE-relaxed structure; Cu Kα, 1.54184 Å).
Lines closer than 0.1° are merged.

Most intense lines, 10 to 90 degrees two-theta, in order of falling intensity:
2θ = 31.43°, intensity 100
2θ = 45.03°, intensity 49
2θ = 26.77°, intensity 23
2θ = 27.49°, intensity 22
2θ = 55.16°, intensity 13
2θ = 44.15°, intensity 13
2θ = 56.75°, intensity 12
2θ = 46.00°, intensity 12
2θ = 74.47°, intensity 11
2θ = 74.58°, intensity 11
2θ = 81.85°, intensity 8
2θ = 84.50°, intensity 8

Structure:
abc: 7.0216 3.9457 7.0245
angles: 90.00 108.51 90.00
Positions (direct):
Tb1 0.2417 0.0000 0.2380
Tb2 0.2526 0.5000 0.7591
Tb3 0.7474 0.5000 0.2409
Tb4 0.7583 0.0000 0.7620
Zn1 0.0000 0.0000 0.5000
Se1 0.5000 0.5000 0.5000
S1 0.0000 0.5000 0.0000
S2 0.5000 0.0000 0.0000



Structure and computed powder X-ray diffraction pattern of TcSeS (a GGA-PBE-relaxed structure; Cu Kα, 1.54184 Å).
Lines closer than 0.1° are merged.

Most intense lines, 10 to 90 degrees two-theta, in order of falling intensity:
2θ = 12.65°, intensity 100
2θ = 37.36°, intensity 23
2θ = 41.46°, intensity 20
2θ = 35.07°, intensity 17
2θ = 48.07°, intensity 16
2θ = 33.48°, intensity 15
2θ = 43.50°, intensity 11
2θ = 38.52°, intensity 9
2θ = 45.13°, intensity 7
2θ = 15.26°, intensity 6
2θ = 42.25°, intensity 6
2θ = 45.24°, intensity 6

Structure:
abc: 11.9668 3.0736 7.2133
angles: 90.00 103.97 90.00
Positions (direct):
Tc1 0.0000 0.0000 0.0000
Tc2 0.1935 0.5000 0.9390
Tc3 0.5000 0.5000 0.0000
Tc4 0.6935 0.0000 0.9390
Se1 0.0742 0.0000 0.7110
Se2 0.3630 0.0000 0.1547
Se3 0.5742 0.5000 0.7110
Se4 0.8630 0.5000 0.1547
S1 0.1184 0.5000 0.2100
S2 0.3262 0.5000 0.7453
S3 0.6184 0.0000 0.2100
S4 0.8262 0.0000 0.7453



Structure and computed powder X-ray diffraction pattern of TeSe2S6 (a GGA-PBE-relaxed structure; Cu Kα, 1.54184 Å).
Lines closer than 0.1° are merged.

Most intense lines, 10 to 90 degrees two-theta, in order of falling intensity:
2θ = 16.09°, intensity 100
2θ = 25.17°, intensity 62
2θ = 34.07°, intensity 54
2θ = 10.46°, intensity 50
2θ = 13.43°, intensity 40
2θ = 30.55°, intensity 33
2θ = 36.84°, intensity 21
2θ = 54.78°, intensity 19
2θ = 35.35°, intensity 18
2θ = 44.32°, intensity 16
2θ = 27.28°, intensity 14
2θ = 23.66°, intensity 14

Structure:
abc: 3.9284 8.7406 8.7516
angles: 97.80 100.82 100.84
Positions (direct):
Te1 0.0000 0.0000 0.0000
Se1 0.4983 0.8555 0.1403
Se2 0.5017 0.1445 0.8597
S1 0.0337 0.5377 0.2885
S2 0.0353 0.2894 0.5408
S3 0.2503 0.6712 0.6690
S4 0.7497 0.3288 0.3310
S5 0.9647 0.7106 0.4592
S6 0.9663 0.4623 0.7115



Structure and computed powder X-ray diffraction pattern of TeSeS (a GGA-PBE-relaxed structure; Cu Kα, 1.54184 Å).
Lines closer than 0.1° are merged.

Most intense lines, 10 to 90 degrees two-theta, in order of falling intensity:
2θ = 29.93°, intensity 100
2θ = 13.56°, intensity 97
2θ = 28.96°, intensity 49
2θ = 37.79°, intensity 32
2θ = 46.14°, intensity 31
2θ = 38.69°, intensity 29
2θ = 49.21°, intensity 21
2θ = 39.03°, intensity 17
2θ = 37.23°, intensity 17
2θ = 56.34°, intensity 16
2θ = 46.41°, intensity 16
2θ = 55.63°, intensity 15

Structure:
abc: 6.5377 3.9132 6.8344
angles: 90.00 92.60 90.00
Positions (direct):
Te1 0.0148 0.2500 0.2401
Te2 0.9852 0.7500 0.7599
Se1 0.2626 0.7500 0.4165
Se2 0.7374 0.2500 0.5835
S1 0.2290 0.2500 0.9378
S2 0.7710 0.7500 0.0622



Structure and computed powder X-ray diffraction pattern of Te3SeS (a GGA-PBE-relaxed structure; Cu Kα, 1.54184 Å).
Lines closer than 0.1° are merged.

Most intense lines, 10 to 90 degrees two-theta, in order of falling intensity:
2θ = 27.30°, intensity 100
2θ = 29.36°, intensity 70
2θ = 23.89°, intensity 46
2θ = 36.86°, intensity 37
2θ = 31.62°, intensity 36
2θ = 20.96°, intensity 31
2θ = 21.95°, intensity 29
2θ = 43.95°, intensity 26
2θ = 32.41°, intensity 26
2θ = 40.04°, intensity 26
2θ = 19.65°, intensity 24
2θ = 46.11°, intensity 22

Structure:
abc: 9.4509 4.7439 17.1946
angles: 90.00 119.95 90.00
Positions (direct):
Te1 0.0304 0.1075 0.3844
Te2 0.0304 0.3925 0.8844
Te3 0.3753 0.1120 0.6552
Te4 0.3753 0.3880 0.1552
Te5 0.4017 0.6636 0.3868
Te6 0.4017 0.8364 0.8868
Te7 0.5983 0.1636 0.1132
Te8 0.5983 0.3364 0.6132
Te9 0.6247 0.6120 0.8448
Te10 0.6247 0.8880 0.3448
Te11 0.9696 0.6075 0.1156
Te12 0.9696 0.8925 0.6156
Se1 0.1930 0.7325 0.0209
Se2 0.1930 0.7675 0.5209
Se3 0.8070 0.2325 0.4791
Se4 0.8070 0.2675 0.9791
S1 0.1575 0.5634 0.7931
S2 0.1575 0.9366 0.2931
S3 0.8425 0.0634 0.7069
S4 0.8425 0.4366 0.2069



Structure and computed powder X-ray diffraction pattern of Te4Se3S2 (a GGA-PBE-relaxed structure; Cu Kα, 1.54184 Å).
Lines closer than 0.1° are merged.

Most intense lines, 10 to 90 degrees two-theta, in order of falling intensity:
2θ = 11.91°, intensity 100
2θ = 29.87°, intensity 55
2θ = 22.71°, intensity 47
2θ = 19.66°, intensity 40
2θ = 30.56°, intensity 37
2θ = 34.26°, intensity 31
2θ = 28.83°, intensity 19
2θ = 45.58°, intensity 17
2θ = 23.90°, intensity 17
2θ = 39.16°, intensity 17
2θ = 18.06°, intensity 16
2θ = 46.58°, intensity 15

Structure:
abc: 10.0328 10.0328 8.5610
angles: 113.28 113.28 95.83
Positions (direct):
Te1 0.0305 0.2839 0.0126
Te2 0.2839 0.0305 0.5126
Te3 0.3123 0.3576 0.7047
Te4 0.3576 0.3123 0.2047
Te5 0.6424 0.6878 0.7953
Te6 0.6878 0.6424 0.2953
Te7 0.7161 0.9695 0.4874
Te8 0.9695 0.7161 0.9874
Se1 0.0143 0.7516 0.3084
Se2 0.2484 0.9857 0.1916
Se3 0.4053 0.5947 0.2500
Se4 0.5947 0.4053 0.7500
Se5 0.7516 0.0143 0.8084
Se6 0.9857 0.2484 0.6916
S1 0.1865 0.4225 0.4666
S2 0.4225 0.1865 0.9666
S3 0.5775 0.8135 0.0334
S4 0.8135 0.5775 0.5334



Structure and computed powder X-ray diffraction pattern of Te3SeS4 (a GGA-PBE-relaxed structure; Cu Kα, 1.54184 Å).
Lines closer than 0.1° are merged.

Most intense lines, 10 to 90 degrees two-theta, in order of falling intensity:
2θ = 19.75°, intensity 100
2θ = 32.11°, intensity 77
2θ = 31.64°, intensity 26
2θ = 31.47°, intensity 25
2θ = 27.32°, intensity 19
2θ = 19.58°, intensity 15
2θ = 45.61°, intensity 14
2θ = 43.69°, intensity 14
2θ = 43.51°, intensity 14
2θ = 46.48°, intensity 13
2θ = 39.77°, intensity 11
2θ = 67.16°, intensity 9

Structure:
abc: 5.9801 6.5403 6.8267
angles: 84.58 70.38 71.90
Positions (direct):
Te1 0.0000 0.0000 0.0000
Te2 0.3174 0.3467 0.3056
Te3 0.6826 0.6533 0.6944
Se1 0.5000 0.0000 0.0000
S1 0.1632 0.6942 0.5299
S2 0.2357 0.6093 0.8116
S3 0.7643 0.3907 0.1884
S4 0.8368 0.3058 0.4701



Structure and computed powder X-ray diffraction pattern of Tl6TeSe2S (a GGA-PBE-relaxed structure; Cu Kα, 1.54184 Å).
Lines closer than 0.1° are merged.

Most intense lines, 10 to 90 degrees two-theta, in order of falling intensity:
2θ = 27.70°, intensity 100
2θ = 25.76°, intensity 59
2θ = 25.30°, intensity 46
2θ = 26.14°, intensity 41
2θ = 25.53°, intensity 40
2θ = 34.32°, intensity 36
2θ = 27.13°, intensity 34
2θ = 32.83°, intensity 32
2θ = 32.01°, intensity 31
2θ = 15.31°, intensity 23
2θ = 36.58°, intensity 19
2θ = 35.20°, intensity 18

Structure:
abc: 7.5395 7.7303 8.2102
angles: 117.61 90.91 117.83
Positions (direct):
Tl1 0.0000 0.0000 0.0000
Tl2 0.0769 0.5699 0.0765
Tl3 0.2616 0.5543 0.4885
Tl4 0.5784 0.2884 0.7314
Tl5 0.6658 0.2715 0.2407
Tl6 0.8439 0.0241 0.4402
Te1 0.4644 0.4758 0.0749
Se1 0.3012 0.1184 0.4067
Se2 0.6654 0.9920 0.7658
S1 0.9569 0.5633 0.7288



Structure and computed powder X-ray diffraction pattern of Tm6TeSe2S3 (a GGA-PBE-relaxed structure; Cu Kα, 1.54184 Å).
Lines closer than 0.1° are merged.

Most intense lines, 10 to 90 degrees two-theta, in order of falling intensity:
2θ = 31.75°, intensity 100
2θ = 45.86°, intensity 38
2θ = 27.54°, intensity 29
2θ = 45.22°, intensity 20
2θ = 56.91°, intensity 13
2θ = 75.89°, intensity 11
2θ = 45.10°, intensity 10
2θ = 66.34°, intensity 9
2θ = 34.64°, intensity 9
2θ = 63.25°, intensity 7
2θ = 27.02°, intensity 7
2θ = 84.48°, intensity 7

Structure:
abc: 8.9431 8.9431 8.0416
angles: 103.99 103.99 25.54
Positions (direct):
Tm1 0.0061 0.0061 0.2198
Tm2 0.3215 0.3215 0.4325
Tm3 0.3396 0.3396 0.9015
Tm4 0.6604 0.6604 0.0985
Tm5 0.6785 0.6785 0.5675
Tm6 0.9939 0.9939 0.7802
Te1 0.5000 0.5000 0.5000
Se1 0.1676 0.1676 0.8331
Se2 0.8324 0.8324 0.1669
S1 0.1644 0.1644 0.3301
S2 0.5000 0.5000 0.0000
S3 0.8356 0.8356 0.6699



Copy entry 2 word for word.
Structure and computed powder X-ray diffraction pattern of Tb4Tl2SeS (a GGA-PBE-relaxed structure; Cu Kα, 1.54184 Å).
Lines closer than 0.1° are merged.

Most intense lines, 10 to 90 degrees two-theta, in order of falling intensity:
2θ = 30.33°, intensity 100
2θ = 40.31°, intensity 26
2θ = 46.35°, intensity 22
2θ = 32.44°, intensity 13
2θ = 26.57°, intensity 13
2θ = 40.15°, intensity 13
2θ = 56.55°, intensity 12
2θ = 46.53°, intensity 11
2θ = 33.77°, intensity 11
2θ = 57.01°, intensity 10
2θ = 75.90°, intensity 10
2θ = 58.68°, intensity 9

Structure:
abc: 6.7943 3.9032 8.2720
angles: 90.00 105.72 90.00
Positions (direct):
Tb1 0.2277 0.0000 0.2067
Tb2 0.2544 0.5000 0.7870
Tb3 0.7456 0.5000 0.2130
Tb4 0.7723 0.0000 0.7933
Tl1 0.0000 0.0000 0.5000
Tl2 0.5000 0.5000 0.5000
Se1 0.5000 0.0000 0.0000
S1 0.0000 0.5000 0.0000